Entry 1:
Simulated X-ray powder pattern of TiO2 for Cu Kα X-rays, from a crystal structure in the Materials Project, relaxed with GGA-PBE.

Cell and atoms:
abc: 4.653 4.653 2.969
angles: 90.00 90.00 90.00
Positions (direct):
Ti 0.000 0.000 0.000
Ti 0.500 0.500 0.500
O 0.195 0.195 0.500
O 0.305 0.695 0.000
O 0.695 0.305 0.000
O 0.805 0.805 0.500

Peak list (6 most intense, 2θ from 10° to 90°, sorted by position)
27.10 deg, I = 100; 35.88 deg, I = 45; 40.94 deg, I = 19; 53.79 deg, I = 58; 55.89 deg, I = 18; 68.22 deg, I = 22

---

Entry 2:
Simulated X-ray powder pattern of Ti3O5 for Cu Kα X-rays, from a crystal structure in the Materials Project, relaxed with GGA-PBE.

Cell and atoms:
abc: 5.289 5.289 10.021
angles: 91.10 91.10 42.05
Positions (direct):
Ti 0.129 0.129 0.050
Ti 0.134 0.134 0.435
Ti 0.196 0.196 0.757
Ti 0.804 0.804 0.243
Ti 0.866 0.866 0.565
Ti 0.871 0.871 0.950
O 0.045 0.045 0.868
O 0.051 0.051 0.615
O 0.238 0.238 0.250
O 0.312 0.312 0.574
O 0.321 0.321 0.936
O 0.679 0.679 0.064
O 0.688 0.688 0.426
O 0.762 0.762 0.750
O 0.949 0.949 0.385
O 0.955 0.955 0.132

Peak list (6 most intense, 2θ from 10° to 90°, sorted by position)
17.97 deg, I = 36; 25.14 deg, I = 100; 32.05 deg, I = 35; 32.68 deg, I = 34; 36.13 deg, I = 16; 47.94 deg, I = 35